# LiPm2Sb4Pd3
Computed XRD peak list, Cu Kα, 1.54184 Å. Input: a structure optimized by DFT (GGA-PBE).
Peak positions follow from Bragg's law for the DFT cell and can differ from measured ones.

Structure:
```
LiPm2Sb4Pd3
1.0
4.424 0.000 0.000
0.000 4.424 0.000
0.000 0.000 11.605
Li Pm Sb Pd
1 2 4 3
direct
0.000 0.000 0.000
0.000 0.500 0.761
0.500 0.000 0.239
0.000 0.000 0.500
0.000 0.500 0.134
0.500 0.000 0.866
0.500 0.500 0.500
0.000 0.500 0.359
0.500 0.000 0.641
0.500 0.500 0.000
```

Most intense lines, 2θ = 10–90°, in order of falling intensity:
two_theta, d_spacing, I_rel
32.52, 2.753, 100.0
30.70, 2.912, 65.3
40.80, 2.212, 63.7
44.06, 2.055, 41.4
51.92, 1.761, 31.8
61.60, 1.506, 30.2
42.50, 2.127, 23.6
69.07, 1.360, 22.2
28.54, 3.128, 21.5
59.07, 1.564, 21.1



# Ti6Zn10Cu
Computed XRD peak list, Cu Kα, 1.54184 Å. Input: a structure optimized by DFT (GGA-PBE).
Peak positions follow from Bragg's law for the DFT cell and can differ from measured ones.

Structure:
```
Ti6Zn10Cu
1.0
7.504 0.000 0.000
-3.752 6.499 0.000
0.000 0.000 5.474
Ti Zn Cu
6 10 1
direct
0.000 0.357 0.328
0.000 0.643 0.672
0.357 0.000 0.328
0.357 0.357 0.672
0.643 0.000 0.672
0.643 0.643 0.328
0.000 0.289 0.840
0.000 0.711 0.160
0.289 0.000 0.840
0.289 0.289 0.160
0.333 0.667 0.000
0.333 0.667 0.500
0.667 0.333 0.000
0.667 0.333 0.500
0.711 0.000 0.160
0.711 0.711 0.840
0.000 0.000 0.500
```

Most intense lines, 2θ = 10–90°, in order of falling intensity:
two_theta, d_spacing, I_rel
40.81, 2.211, 100.0
41.69, 2.166, 81.2
59.76, 1.547, 24.2
40.24, 2.241, 20.5
75.50, 1.259, 18.7
73.68, 1.286, 15.2
32.03, 2.794, 8.7
28.85, 3.095, 8.6
64.81, 1.439, 7.8
76.11, 1.251, 7.7



# Ca2LaAlCr
Computed XRD peak list, Cu Kα, 1.54184 Å. Input: a structure optimized by DFT (GGA-PBE).
Peak positions follow from Bragg's law for the DFT cell and can differ from measured ones.

Structure:
```
Ca2LaAlCr
1.0
5.735 0.000 0.000
0.000 5.735 0.000
0.000 0.000 5.037
Ca La Al Cr
2 1 1 1
direct
0.000 0.500 0.000
0.500 0.000 0.000
0.000 0.000 0.500
0.500 0.500 0.000
0.500 0.500 0.500
```

Most intense lines, 2θ = 10–90°, in order of falling intensity:
two_theta, d_spacing, I_rel
28.25, 3.159, 100.0
31.19, 2.867, 57.0
48.08, 1.892, 32.3
53.72, 1.706, 30.7
23.51, 3.784, 30.3
21.92, 4.055, 26.5
44.70, 2.027, 20.2
35.65, 2.519, 19.7
58.44, 1.579, 17.5
39.43, 2.285, 15.8



# RbMg2In10
Computed XRD peak list, Cu Kα, 1.54184 Å. Input: a structure optimized by DFT (GGA-PBE).
Peak positions follow from Bragg's law for the DFT cell and can differ from measured ones.

Structure:
```
RbMg2In10
1.0
0.000 7.475 7.725
3.162 0.000 7.725
3.162 7.475 0.000
Rb Mg In
1 2 10
direct
0.000 0.000 0.000
0.000 0.500 0.000
0.500 0.000 0.500
0.000 0.000 0.500
0.006 0.356 0.644
0.280 0.497 0.503
0.356 0.006 0.994
0.497 0.280 0.720
0.500 0.500 0.000
0.503 0.720 0.280
0.644 0.994 0.006
0.720 0.503 0.497
0.994 0.644 0.356
```

Most intense lines, 2θ = 10–90°, in order of falling intensity:
two_theta, d_spacing, I_rel
32.83, 2.728, 100.0
33.36, 2.686, 45.4
33.66, 2.663, 44.8
28.64, 3.116, 37.9
37.25, 2.414, 31.1
11.84, 7.475, 29.9
28.22, 3.162, 29.7
36.73, 2.447, 28.2
37.07, 2.425, 25.5
37.58, 2.393, 21.8